Entry 1:
# CaSb2Pd4
Theoretical PXRD pattern, λ = 1.5418 Å (Cu Kα). Input: a crystal structure in Alexandria, relaxed with PBE.
Lines closer than 0.1° are merged.

Most intense lines, 10 to 80 degrees two-theta, in order of falling intensity:
- hkl 2 1 3, 2.083 Å, 2θ = 43.4°, I 100
- hkl 0 2 0, 2.280 Å, 2θ = 39.5°, I 80
- hkl 5 1 1, 2.547 Å, 2θ = 35.2°, I 78
- hkl 5 1 2, 2.181 Å, 2θ = 41.4°, I 58
- hkl 4 0 0, 4.231 Å, 2θ = 21.0°, I 36
- hkl 6 1 2, 2.006 Å, 2θ = 45.2°, I 36
- hkl 2 1 2, 2.703 Å, 2θ = 33.1°, I 35
- hkl 1 1 2, 2.814 Å, 2θ = 31.8°, I 29
- hkl 3 0 1, 4.466 Å, 2θ = 19.9°, I 24
- hkl 2 3 3, 1.275 Å, 2θ = 74.4°, I 21

Structure:
Unit cell a=16.923 b=4.560 c=7.310 alpha=90.00 beta=90.00 gamma=90.00
Space group Pnma (No. 62)
Inequivalent atoms, fractional coordinates:
Ca 0.144 0.250 0.046 (multiplicity 4)
Sb 0.029 0.750 0.256 (multiplicity 4)
Sb 0.207 0.250 0.595 (multiplicity 4)
Pd 0.031 0.750 0.891 (multiplicity 4)
Pd 0.064 0.250 0.445 (multiplicity 4)
Pd 0.183 0.750 0.380 (multiplicity 4)
Pd 0.209 0.750 0.790 (multiplicity 4)

Entry 2:
# Cs3NaHg2H8
Theoretical PXRD pattern, λ = 1.5418 Å (Cu Kα). Input: a crystal structure in Alexandria, relaxed with PBE.
Lines closer than 0.1° are merged.

Most intense lines, 10 to 80 degrees two-theta, in order of falling intensity:
- hkl 1 1 0, 3.174 Å, 2θ = 28.1°, I 100
- hkl 0 1 2, 3.350 Å, 2θ = 26.6°, I 81
- hkl 0 1 1, 4.608 Å, 2θ = 19.3°, I 31
- hkl 1 2 2, 1.864 Å, 2θ = 48.9°, I 31
- hkl 2 0 2, 2.304 Å, 2θ = 39.1°, I 30
- hkl 1 1 2, 2.537 Å, 2θ = 35.4°, I 28
- hkl 3 0 0, 1.832 Å, 2θ = 49.8°, I 21
- hkl 0 0 2, 4.225 Å, 2θ = 21.0°, I 17
- hkl 1 0 0, 5.497 Å, 2θ = 16.1°, I 17
- hkl 1 1 4, 1.758 Å, 2θ = 52.0°, I 14

Structure:
Unit cell a=6.3471 b=6.3471 c=8.4498 alpha=90.00 beta=90.00 gamma=120.00
Space group P-3m1 (No. 164)
Inequivalent atoms, fractional coordinates:
Cs 0.0000 0.0000 0.0000 (multiplicity 1)
Cs 0.3333 0.6667 0.6811 (multiplicity 2)
Na 0.0000 0.0000 0.5000 (multiplicity 1)
Hg 0.3333 0.6667 0.2411 (multiplicity 2)
H 0.1785 0.3570 0.3312 (multiplicity 6)
H 0.3333 0.6667 0.0331 (multiplicity 2)

Entry 3:
# Nd4Sn3Pd
Theoretical PXRD pattern, λ = 1.5418 Å (Cu Kα). Input: a crystal structure in Alexandria, relaxed with PBE.
Lines closer than 0.1° are merged.

Most intense lines, 10 to 80 degrees two-theta, in order of falling intensity:
- hkl 1 1 1, 3.053 Å, 2θ = 29.3°, I 100
- hkl 1 1 3, 2.450 Å, 2θ = 36.7°, I 69
- hkl 0 0 4, 2.902 Å, 2θ = 30.8°, I 29
- hkl 0 2 0, 2.242 Å, 2θ = 40.2°, I 25
- hkl 2 0 0, 2.234 Å, 2θ = 40.4°, I 25
- hkl 1 0 3, 2.925 Å, 2θ = 30.6°, I 23
- hkl 0 1 4, 2.436 Å, 2θ = 36.9°, I 20
- hkl 2 2 0, 1.582 Å, 2θ = 58.3°, I 17
- hkl 1 2 3, 1.778 Å, 2θ = 51.4°, I 15
- hkl 2 2 4, 1.389 Å, 2θ = 67.4°, I 15

Structure:
Unit cell a=4.468 b=4.483 c=11.607 alpha=90.00 beta=90.00 gamma=90.00
Space group Pmm2 (No. 25)
Inequivalent atoms, fractional coordinates:
Nd 0.000 0.000 0.000 (multiplicity 1)
Nd 0.000 0.500 0.261 (multiplicity 1)
Nd 0.500 0.000 0.475 (multiplicity 1)
Nd 0.500 0.500 0.767 (multiplicity 1)
Sn 0.000 0.000 0.717 (multiplicity 1)
Sn 0.000 0.500 0.539 (multiplicity 1)
Sn 0.500 0.500 0.046 (multiplicity 1)
Pd 0.500 0.000 0.207 (multiplicity 1)

Entry 4:
# RbCd11
Theoretical PXRD pattern, λ = 1.5418 Å (Cu Kα). Input: a crystal structure in Alexandria, relaxed with PBE.
Lines closer than 0.1° are merged.

Most intense lines, 10 to 80 degrees two-theta, in order of falling intensity:
- hkl 5 0 1, 2.344 Å, 2θ = 38.4°, I 100
- hkl 3 1 2, 2.774 Å, 2θ = 32.3°, I 69
- hkl 4 2 0, 2.743 Å, 2θ = 32.6°, I 58
- hkl 4 2 2, 2.257 Å, 2θ = 39.9°, I 39
- hkl 2 1 3, 2.383 Å, 2θ = 37.7°, I 36
- hkl 1 0 3, 2.587 Å, 2θ = 34.7°, I 27
- hkl 5 5 2, 1.590 Å, 2θ = 58.0°, I 26
- hkl 3 2 1, 3.128 Å, 2θ = 28.5°, I 22
- hkl 4 0 2, 2.427 Å, 2θ = 37.0°, I 19
- hkl 2 0 0, 6.135 Å, 2θ = 14.4°, I 16

Structure:
Unit cell a=12.269 b=12.269 c=7.938 alpha=90.00 beta=90.00 gamma=90.00
Space group I4_1/amd (No. 141, origin choice 2)
Inequivalent atoms, fractional coordinates:
Rb 0.000 0.250 0.375 (multiplicity 4)
Cd 0.000 0.000 0.000 (multiplicity 8)
Cd 0.000 0.250 0.875 (multiplicity 4)
Cd 0.121 0.044 0.678 (multiplicity 32)

Entry 5:
# K2AgH2F6
Theoretical PXRD pattern, λ = 1.5418 Å (Cu Kα). Input: a crystal structure in Alexandria, relaxed with PBE.
Lines closer than 0.1° are merged.

Most intense lines, 10 to 80 degrees two-theta, in order of falling intensity:
- hkl 0 1 5, 2.800 Å, 2θ = 32.0°, I 100
- hkl 1 0 1, 4.521 Å, 2θ = 19.6°, I 88
- hkl 0 2 4, 2.063 Å, 2θ = 43.9°, I 71
- hkl 1 1 0, 2.702 Å, 2θ = 33.1°, I 57
- hkl 1 0 4, 3.193 Å, 2θ = 27.9°, I 54
- hkl 1 1 9, 1.577 Å, 2θ = 58.5°, I 45
- hkl 0 1 2, 4.126 Å, 2θ = 21.5°, I 39
- hkl 0 0 9, 1.944 Å, 2θ = 46.7°, I 32
- hkl 2 1 1, 1.760 Å, 2θ = 52.0°, I 29
- hkl 1 1 6, 1.980 Å, 2θ = 45.8°, I 26

Structure:
Unit cell a=5.4049 b=5.4049 c=17.4690 alpha=90.00 beta=90.00 gamma=120.00
Space group R-3m (No. 166, hexagonal axes)
Inequivalent atoms, fractional coordinates:
K 0.0000 0.0000 0.2187 (multiplicity 6)
Ag 0.0000 0.0000 0.0000 (multiplicity 3)
H 0.0000 0.0000 0.4131 (multiplicity 6)
F 0.0403 0.5202 0.2518 (multiplicity 18)

Entry 6:
# TbHg2
Theoretical PXRD pattern, λ = 1.5418 Å (Cu Kα). Input: a crystal structure in Alexandria, relaxed with PBE.
Lines closer than 0.1° are merged.

Most intense lines, 10 to 80 degrees two-theta, in order of falling intensity:
- hkl 1 1 0, 2.594 Å, 2θ = 34.6°, I 100
- hkl 2 1 2, 1.497 Å, 2θ = 62.0°, I 18
- hkl 2 0 2, 1.834 Å, 2θ = 49.7°, I 17
- hkl 1 1 4, 1.356 Å, 2θ = 69.3°, I 15
- hkl 3 0 0, 1.497 Å, 2θ = 62.0°, I 10
- hkl 2 2 0, 1.296 Å, 2θ = 73.0°, I 6
- hkl 0 0 4, 1.591 Å, 2θ = 58.0°, I 4
- hkl 1 1 2, 2.009 Å, 2θ = 45.1°, I 4
- hkl 0 0 2, 3.181 Å, 2θ = 28.1°, I 2
- hkl 1 0 1, 3.668 Å, 2θ = 24.3°, I 1

Structure:
Unit cell a=5.1842 b=5.1842 c=6.3620 alpha=90.00 beta=90.00 gamma=120.00
Space group P6_3/mmc (No. 194)
Inequivalent atoms, fractional coordinates:
Tb 0.3333 0.6667 0.2500 (multiplicity 2)
Hg 0.0000 0.0000 0.0000 (multiplicity 2)
Hg 0.3333 0.6667 0.7500 (multiplicity 2)